1.
# H12W3C4NCl9
Calculated XRD peak list, CuKα. Input: DFT lattice parameters and positions (PBE).
Neutral-atom scattering factors, no anomalous dispersion.

Most intense lines, 2θ = 5–70°, sorted by position:
2theta  intensity
9.1  100
10.0  24
13.6  34
20.9  7
31.7  7
34.4  15
34.9  5
39.3  14
42.6  8
45.7  6

a b c (Å): 11.1687 11.1687 8.8542
angles (deg): 90.00 90.00 120.00
Space group P-3m1 (No. 164)
Inequivalent atoms, fractional coordinates:
H 0.1345 0.4868 0.1769 [12 per cell]
H 0.1883 0.5942 0.0113 [6 per cell]
H 0.2797 0.5595 0.4012 [6 per cell]
W 0.0889 0.1778 0.6242 [6 per cell]
C 0.1867 0.5934 0.1350 [6 per cell]
C 0.3333 0.6667 0.3613 [2 per cell]
N 0.3333 0.6667 0.1916 [2 per cell]
Cl 0.0000 0.3105 0.5000 [6 per cell]
Cl 0.0994 0.1987 0.1962 [6 per cell]
Cl 0.1915 0.3831 0.7893 [6 per cell]

=====

2.
# ZnH6CN3Cl3
Calculated XRD peak list, CuKα. Input: DFT lattice parameters and positions (PBE).
Neutral-atom scattering factors, no anomalous dispersion.

Most intense lines, 2θ = 5–70°, sorted by position:
2theta  intensity
11.9  100
20.7  17
27.9  30
34.9  8
35.5  8
37.6  14
43.3  15
43.4  7
46.8  7
53.6  7

a b c (Å): 8.569 6.246 17.206
angles (deg): 90.00 119.85 90.00
Space group P2_1/c (No. 14)
Inequivalent atoms, fractional coordinates:
Zn 0.000 0.017 0.250 [4 per cell]
H 0.081 0.245 0.571 [4 per cell]
H 0.081 0.246 0.969 [4 per cell]
H 0.356 0.237 0.708 [4 per cell]
H 0.357 0.246 0.969 [4 per cell]
H 0.440 0.737 0.792 [4 per cell]
H 0.440 0.746 0.930 [4 per cell]
C 0.333 0.245 0.582 [4 per cell]
N 0.153 0.249 0.538 [4 per cell]
N 0.422 0.238 0.672 [4 per cell]
N 0.423 0.249 0.538 [4 per cell]
Cl 0.130 0.734 0.880 [4 per cell]
Cl 0.131 0.734 0.685 [4 per cell]
Cl 0.262 0.234 0.815 [4 per cell]

=====

3.
# H2RuC3Cl2O4
Calculated XRD peak list, CuKα. Input: DFT lattice parameters and positions (PBE).
Neutral-atom scattering factors, no anomalous dispersion.

Most intense lines, 2θ = 5–70°, sorted by position:
2theta  intensity
10.9  30
14.4  100
16.4  100
16.6  41
18.1  72
22.1  34
25.2  31
31.2  29
32.4  46
34.8  29

a b c (Å): 6.620 10.651 13.468
angles (deg): 90.00 111.75 90.00
Space group P2_1/c (No. 14)
Inequivalent atoms, fractional coordinates:
H 0.224 0.067 0.075 [4 per cell]
H 0.229 0.513 0.481 [4 per cell]
Ru 0.037 0.208 0.895 [4 per cell]
C 0.167 0.683 0.201 [4 per cell]
C 0.199 0.154 0.476 [4 per cell]
C 0.205 0.201 0.808 [4 per cell]
Cl 0.169 0.529 0.703 [4 per cell]
Cl 0.178 0.712 0.492 [4 per cell]
O 0.251 0.075 0.007 [4 per cell]
O 0.294 0.069 0.524 [4 per cell]
O 0.297 0.618 0.259 [4 per cell]
O 0.304 0.197 0.753 [4 per cell]